Record 1
The following is a computed XRD peak list of Ce2Pa2Se7. It was derived from a crystal structure in Alexandria, relaxed with PBE, using copper Kα.

Largest 10 diffraction maxima, in order of rising 2θ, 10 to 90 degrees two-theta:
two_theta	I_rel
22.9	47
24.0	23
26.8	25
30.1	22
34.0	100
34.6	31
39.0	57
41.3	29
44.5	35
61.1	28

Atomic structure:
```
data_Ce2Pa2Se7
_symmetry_space_group_name_H-M 'I m m 2'
_symmetry_Int_Tables_number 44
_symmetry_space_group_name_Hall 'I 2 -2'
_cell_length_a 4.070
_cell_length_b 14.953
_cell_length_c 9.093
_cell_angle_alpha 90.00
_cell_angle_beta 90.00
_cell_angle_gamma 90.00
loop_
_atom_site_label
_atom_site_type_symbol
_atom_site_fract_x
_atom_site_fract_y
_atom_site_fract_z
Ce1 Ce 0.000 0.000 0.000
Ce2 Ce 0.000 0.500 0.048
Pa1 Pa 0.000 0.258 0.814
Se1 Se 0.000 0.145 0.498
Se2 Se 0.000 0.184 0.115
Se3 Se 0.000 0.386 0.328
Se4 Se 0.000 0.500 0.733
```



Record 2
The following is a computed XRD peak list of CeSm2PaTc2. It was derived from a crystal structure in Alexandria, relaxed with PBE, using copper Kα.

Largest 10 diffraction maxima, in order of rising 2θ, 10 to 90 degrees two-theta:
two_theta	I_rel
13.3	45
29.1	62
29.3	62
32.5	81
37.0	100
37.5	27
37.6	27
50.0	22
50.2	24
61.8	32

Atomic structure:
```
data_CeSm2PaTc2
_symmetry_space_group_name_H-M 'I b a m'
_symmetry_Int_Tables_number 72
_symmetry_space_group_name_Hall '-I 2 2c'
_cell_length_a 6.899
_cell_length_b 13.362
_cell_length_c 6.847
_cell_angle_alpha 90.00
_cell_angle_beta 90.00
_cell_angle_gamma 90.00
loop_
_atom_site_label
_atom_site_type_symbol
_atom_site_fract_x
_atom_site_fract_y
_atom_site_fract_z
Ce1 Ce 0.000 0.000 0.250
Sm1 Sm 0.232 0.309 0.000
Pa1 Pa 0.000 0.500 0.250
Tc1 Tc 0.232 0.412 0.500
```



Record 3
The following is a computed XRD peak list of TbCeZrPa. It was derived from a crystal structure in Alexandria, relaxed with PBE, using copper Kα.

Largest 10 diffraction maxima, in order of rising 2θ, 10 to 90 degrees two-theta:
two_theta	I_rel
20.5	4
23.7	7
33.8	100
39.9	2
41.7	2
48.6	18
54.8	3
60.5	38
71.2	12
81.2	16

Atomic structure:
```
data_TbCeZrPa
_symmetry_space_group_name_H-M 'F -4 3 m'
_symmetry_Int_Tables_number 216
_symmetry_space_group_name_Hall 'F -4 2 3'
_cell_length_a 7.495
_cell_length_b 7.495
_cell_length_c 7.495
_cell_angle_alpha 90.00
_cell_angle_beta 90.00
_cell_angle_gamma 90.00
loop_
_atom_site_label
_atom_site_type_symbol
_atom_site_fract_x
_atom_site_fract_y
_atom_site_fract_z
Tb1 Tb 0.000 0.000 0.000
Ce1 Ce 0.250 0.250 0.250
Zr1 Zr 0.250 0.250 0.750
Pa1 Pa 0.000 0.000 0.500
```



Record 4
The following is a computed XRD peak list of Ce2PaTe4. It was derived from a crystal structure in Alexandria, relaxed with PBE, using copper Kα.

Largest 10 diffraction maxima, in order of rising 2θ, 10 to 90 degrees two-theta:
two_theta	I_rel
21.3	60
26.4	60
28.2	91
30.0	100
36.8	68
38.9	36
40.8	50
42.2	37
60.1	27
62.1	26

Atomic structure:
```
data_Ce2PaTe4
_symmetry_space_group_name_H-M 'C m c m'
_symmetry_Int_Tables_number 63
_symmetry_space_group_name_Hall '-C 2c 2'
_cell_length_a 4.286
_cell_length_b 14.775
_cell_length_c 15.180
_cell_angle_alpha 90.00
_cell_angle_beta 90.00
_cell_angle_gamma 90.00
loop_
_atom_site_label
_atom_site_type_symbol
_atom_site_fract_x
_atom_site_fract_y
_atom_site_fract_z
Ce1 Ce 0.000 0.138 0.067
Pa1 Pa 0.000 0.380 0.250
Te1 Te 0.000 0.035 0.250
Te2 Te 0.000 0.219 0.629
Te3 Te 0.000 0.500 0.000
```